1.
For Rb3Sm3VO8, a structure optimized by DFT (PBE+U) gives the calculated powder diffractogram in this record (a wavelength of 1.5418 Å).
Peak positions follow from Bragg's law for the DFT cell and can differ from measured ones.

Cell and atoms:
```
Rb3Sm3VO8
1.0
3.4655 2.0008 6.6105
-3.4655 2.0008 6.6105
0.0000 -4.0016 6.6105
Rb Sm V O
3 3 1 8
direct
0.0000 0.5000 0.5000
0.5000 0.0000 0.5000
0.5000 0.5000 0.0000
0.0000 0.0000 0.5000
0.0000 0.5000 0.0000
0.5000 0.0000 0.0000
0.5000 0.5000 0.5000
0.2263 0.2263 0.2263
0.2611 0.6998 0.6998
0.3002 0.3002 0.7389
0.3002 0.7389 0.3002
0.6998 0.2611 0.6998
0.6998 0.6998 0.2611
0.7389 0.3002 0.3002
0.7737 0.7737 0.7737
```

The 10 most intense peaks (10 to 90 degrees two-theta), by intensity:
| 2theta | I/Imax |
| --- | --- |
| 34.95 | 100 |
| 31.14 | 75 |
| 13.39 | 46 |
| 26.98 | 43 |
| 47.58 | 34 |
| 52.84 | 30 |
| 60.31 | 28 |
| 55.56 | 27 |
| 17.27 | 25 |
| 80.26 | 20 |

---

2.
For RbSmW2O8, a structure optimized by DFT (PBE+U) gives the calculated powder diffractogram in this record (a wavelength of 1.5418 Å).
Peak positions follow from Bragg's law for the DFT cell and can differ from measured ones.

Cell and atoms:
```
RbSmW2O8
1.0
5.5241 -5.4316 0.0000
5.5241 5.4316 0.0000
-4.8768 0.0000 5.7583
Rb Sm W O
2 2 4 16
direct
0.2051 0.7949 0.7500
0.7949 0.2051 0.2500
0.2246 0.7754 0.2500
0.7754 0.2246 0.7500
0.3013 0.3112 0.2836
0.3112 0.3013 0.7836
0.6888 0.6987 0.2164
0.6987 0.6888 0.7164
0.0481 0.2255 0.6940
0.0622 0.3693 0.1300
0.2255 0.0481 0.1940
0.2517 0.3748 0.5598
0.3693 0.0622 0.6300
0.3736 0.5903 0.0316
0.3748 0.2517 0.0598
0.4097 0.6264 0.4684
0.5903 0.3736 0.5316
0.6252 0.7483 0.9402
0.6264 0.4097 0.9684
0.6307 0.9378 0.3700
0.7483 0.6252 0.4402
0.7745 0.9519 0.8060
0.9378 0.6307 0.8700
0.9519 0.7745 0.3060
```

The 10 most intense peaks (10 to 90 degrees two-theta), by intensity:
| 2theta | I/Imax |
| --- | --- |
| 26.78 | 100 |
| 28.83 | 80 |
| 32.95 | 39 |
| 31.06 | 32 |
| 48.34 | 27 |
| 55.09 | 23 |
| 27.64 | 19 |
| 45.94 | 19 |
| 16.32 | 17 |
| 32.62 | 15 |